For Sr2SmTaCu2O8, a structure optimized by DFT (GGA-PBE) gives the computed powder X-ray diffraction pattern in this record (Cu Kα).

Structure:
```
14
Lattice="3.940 0.000 0.000 0.000 3.940 0.000 0.000 0.000 11.753" Properties=species:S:1:pos:R:3 pbc="T T T"
Sr 0.000 0.000 2.357
Sr 0.000 0.000 9.396
Sm 0.000 0.000 5.876
Ta 1.970 1.970 0.000
Cu 1.970 1.970 4.224
Cu 1.970 1.970 7.529
O 0.000 1.970 0.000
O 0.000 1.970 4.371
O 0.000 1.970 7.382
O 1.970 0.000 0.000
O 1.970 0.000 4.371
O 1.970 0.000 7.382
O 1.970 1.970 1.982
O 1.970 1.970 9.771
```

The 10 most intense peaks (15 to 90 degrees two-theta), sorted by position:
h k l, 2θ (°), I/Imax
0 0 2, 15.08, 9
1 0 1, 23.82, 18
1 1 0, 32.19, 100
0 0 5, 38.25, 8
1 1 4, 44.86, 10
2 0 0, 46.08, 22
2 1 3, 57.34, 25
1 1 6, 57.52, 8
2 2 0, 67.21, 7
3 1 0, 76.48, 11